Diffraction record for MnPt3O6. The PXRD pattern is computed, not measured: it uses a structure optimized by DFT (GGA+U) and copper Kα.
Peak positions follow from Bragg's law for the DFT cell and can differ from measured ones.

abc: 6.2270 6.2270 3.2422
angles: 90.00 90.00 109.04
Sites, in units of the cell vectors:
Mn  0.0000  0.0000  0.0000
Pt  0.0000  0.5000  0.5000
Pt  0.5000  0.0000  0.5000
Pt  0.5000  0.5000  0.0000
O  0.1522  0.8478  0.5000
O  0.1616  0.4171  0.0000
O  0.4171  0.1616  0.0000
O  0.5829  0.8384  0.0000
O  0.8384  0.5829  0.0000
O  0.8478  0.1522  0.5000

Top 10 peaks for 5° ≤ 2θ ≤ 70°, sorted by position:
- d 5.886, 15.1°, intensity 21
- d 2.943, 30.4°, intensity 100
- d 2.732, 32.8°, intensity 87
- d 2.535, 35.4°, intensity 25
- d 2.413, 37.3°, intensity 44
- d 1.807, 50.5°, intensity 15
- d 1.748, 52.3°, intensity 56
- d 1.531, 60.5°, intensity 16
- d 1.507, 61.5°, intensity 29
- d 1.420, 65.8°, intensity 23